1.
Calculated powder diffractogram of Pt6RhW3 for Cu Kα (λ = 1.5418 Å), from a structure optimized by DFT (GGA-PBE).

Cell and atoms:
```
data_Pt6RhW3
_space_group_name_H-M_alt 'P 1 2/m 1'
_space_group_IT_number 10
_cell_length_a 4.8877
_cell_length_b 2.7899
_cell_length_c 22.8498
_cell_angle_alpha 90.00
_cell_angle_beta 94.48
_cell_angle_gamma 90.00
loop_
_space_group_symop_operation_xyz
'x,y,z'
'-x,-y,-z'
'-x,y,-z'
'x,-y,z'
loop_
_atom_site_label
_atom_site_type_symbol
_atom_site_fract_x
_atom_site_fract_y
_atom_site_fract_z
Pt1 Pt 0.0839 0.0000 0.2974
Pt2 Pt 0.1424 0.5000 0.9020
Pt3 Pt 0.2090 0.0000 0.5994
Pt4 Pt 0.2903 0.0000 0.7974
Pt5 Pt 0.2927 0.5000 0.4016
Pt6 Pt 0.3582 0.0000 0.0994
Rh1 Rh 0.0000 0.0000 0.0000
Rh2 Rh 0.5000 0.0000 0.5000
W1 W 0.0000 0.5000 0.5000
W2 W 0.2213 0.5000 0.2014
W3 W 0.4220 0.5000 0.7010
W4 W 0.5000 0.5000 0.0000
```

The 12 most intense peaks (10° ≤ 2θ ≤ 90°), in order of falling intensity:
- d = 2.279 Å, 39.55°, I = 100.0, (0 0 10)
- d = 2.260 Å, 39.89°, I = 59.7, (1 1 -4)
- d = 2.006 Å, 45.19°, I = 39.2, (1 1 6)
- d = 2.269 Å, 39.73°, I = 33.9, (2 0 3)
- d = 1.407 Å, 66.46°, I = 32.9, (3 1 -1)
- d = 2.080 Å, 43.52°, I = 31.2, (2 0 5)
- d = 2.333 Å, 38.59°, I = 29.4, (1 1 -3)
- d = 2.348 Å, 38.33°, I = 25.0, (1 1 2)
- d = 1.980 Å, 45.83°, I = 24.3, (1 1 -7)
- d = 1.200 Å, 79.92°, I = 24.0, (3 1 -11)
- d = 2.198 Å, 41.07°, I = 23.1, (1 1 4)
- d = 2.028 Å, 44.69°, I = 22.7, (2 0 -7)


2.
Calculated powder diffractogram of Ce5SnBi3 for Cu Kα (λ = 1.5418 Å), from a structure optimized by DFT (GGA-PBE).

Cell and atoms:
```
data_Ce5SnBi3
_space_group_name_H-M_alt 'P 63/m c m'
_space_group_IT_number 193
_space_group_name_Hall '-P 6c 2'
_cell_length_a 9.7512
_cell_length_b 9.7512
_cell_length_c 6.5544
_cell_angle_alpha 90.00
_cell_angle_beta 90.00
_cell_angle_gamma 120.00
loop_
_atom_site_label
_atom_site_type_symbol
_atom_site_fract_x
_atom_site_fract_y
_atom_site_fract_z
Ce1 Ce 0.0000 0.2745 0.2500
Ce2 Ce 0.3333 0.6667 0.0000
Sn1 Sn 0.0000 0.0000 0.0000
Bi1 Bi 0.0000 0.3805 0.7500
```

The 12 most intense peaks (10° ≤ 2θ ≤ 90°), in order of falling intensity:
- d = 2.720 Å, 32.93°, I = 100.0, (1 1 2)
- d = 2.815 Å, 31.79°, I = 94.0, (3 0 0)
- d = 2.870 Å, 31.17°, I = 61.5, (2 1 1)
- d = 1.956 Å, 46.42°, I = 27.5, (2 2 2)
- d = 2.206 Å, 40.92°, I = 23.7, (3 1 1)
- d = 1.416 Å, 65.96°, I = 23.6, (3 0 4)
- d = 1.606 Å, 57.36°, I = 19.6, (4 1 2)
- d = 1.551 Å, 59.63°, I = 17.3, (4 2 1)
- d = 1.803 Å, 50.63°, I = 16.1, (2 1 3)
- d = 3.277 Å, 27.21°, I = 14.7, (0 0 2)
- d = 1.597 Å, 57.72°, I = 12.2, (3 1 3)
- d = 1.478 Å, 62.89°, I = 11.8, (5 1 1)


3.
Calculated powder diffractogram of LiPrEu2 for Cu Kα (λ = 1.5418 Å), from a structure optimized by DFT (GGA-PBE).

Cell and atoms:
```
data_LiPrEu2
_space_group_name_H-M_alt 'P 4/m m m'
_space_group_IT_number 123
_space_group_name_Hall '-P 4 2'
_cell_length_a 5.9831
_cell_length_b 5.9831
_cell_length_c 3.9836
_cell_angle_alpha 90.00
_cell_angle_beta 90.00
_cell_angle_gamma 90.00
loop_
_atom_site_label
_atom_site_type_symbol
_atom_site_fract_x
_atom_site_fract_y
_atom_site_fract_z
Li1 Li 0.0000 0.0000 0.0000
Pr1 Pr 0.5000 0.5000 0.0000
Eu1 Eu 0.0000 0.5000 0.5000
```

The 12 most intense peaks (10° ≤ 2θ ≤ 90°), in order of falling intensity:
- d = 2.900 Å, 30.83°, I = 100.0, (1 1 1)
- d = 2.992 Å, 29.87°, I = 54.3, (2 0 0)
- d = 1.709 Å, 53.63°, I = 42.0, (3 1 1)
- d = 5.983 Å, 14.81°, I = 26.3, (1 0 0)
- d = 1.658 Å, 55.41°, I = 20.8, (2 0 2)
- d = 2.115 Å, 42.75°, I = 20.5, (2 2 0)
- d = 4.231 Å, 21.00°, I = 15.3, (1 1 0)
- d = 1.450 Å, 64.23°, I = 13.3, (2 2 2)
- d = 3.316 Å, 26.89°, I = 13.0, (1 0 1)
- d = 1.126 Å, 86.46°, I = 11.8, (5 1 1)
- d = 1.111 Å, 87.92°, I = 11.2, (4 2 2)
- d = 1.992 Å, 45.53°, I = 10.1, (0 0 2)


Copy entry 2 word for word.
Calculated powder diffractogram of Ce5SnBi3 for Cu Kα (λ = 1.5418 Å), from a structure optimized by DFT (GGA-PBE).

Cell and atoms:
```
data_Ce5SnBi3
_space_group_name_H-M_alt 'P 63/m c m'
_space_group_IT_number 193
_space_group_name_Hall '-P 6c 2'
_cell_length_a 9.7512
_cell_length_b 9.7512
_cell_length_c 6.5544
_cell_angle_alpha 90.00
_cell_angle_beta 90.00
_cell_angle_gamma 120.00
loop_
_atom_site_label
_atom_site_type_symbol
_atom_site_fract_x
_atom_site_fract_y
_atom_site_fract_z
Ce1 Ce 0.0000 0.2745 0.2500
Ce2 Ce 0.3333 0.6667 0.0000
Sn1 Sn 0.0000 0.0000 0.0000
Bi1 Bi 0.0000 0.3805 0.7500
```

The 12 most intense peaks (10° ≤ 2θ ≤ 90°), in order of falling intensity:
- d = 2.720 Å, 32.93°, I = 100.0, (1 1 2)
- d = 2.815 Å, 31.79°, I = 94.0, (3 0 0)
- d = 2.870 Å, 31.17°, I = 61.5, (2 1 1)
- d = 1.956 Å, 46.42°, I = 27.5, (2 2 2)
- d = 2.206 Å, 40.92°, I = 23.7, (3 1 1)
- d = 1.416 Å, 65.96°, I = 23.6, (3 0 4)
- d = 1.606 Å, 57.36°, I = 19.6, (4 1 2)
- d = 1.551 Å, 59.63°, I = 17.3, (4 2 1)
- d = 1.803 Å, 50.63°, I = 16.1, (2 1 3)
- d = 3.277 Å, 27.21°, I = 14.7, (0 0 2)
- d = 1.597 Å, 57.72°, I = 12.2, (3 1 3)
- d = 1.478 Å, 62.89°, I = 11.8, (5 1 1)